Entry 1:
The following is a calculated PXRD pattern of Ac3SmO6. It was derived from a DFT-relaxed cell (PBE, Alexandria), using Cu Kα.
Peak positions follow from Bragg's law for the DFT cell and can differ from measured ones.

Main lines, by intensity (5 to 70 degrees two-theta):
(3 -1 1), 26.81 deg, I = 100; (1 2 2), 29.68 deg, I = 70; (2 -1 3), 27.60 deg, I = 46; (0 0 3), 21.73 deg, I = 34; (4 1 0), 45.48 deg, I = 30; (3 -1 4), 39.28 deg, I = 26; (2 0 2), 24.29 deg, I = 23; (1 1 6), 47.70 deg, I = 22

Structural model:
```
data_Ac3SmO6
_chemical_formula_sum 'Ac18 Sm6 O36'
_symmetry_space_group_name_H-M 'R -3'
_symmetry_Int_Tables_number 148
_symmetry_space_group_name_Hall '-R 3'
_cell_length_a 10.5529
_cell_length_b 10.5529
_cell_length_c 12.2685
_cell_angle_alpha 90.00
_cell_angle_beta 90.00
_cell_angle_gamma 120.00
loop_
_atom_site_label
_atom_site_type_symbol
_atom_site_fract_x
_atom_site_fract_y
_atom_site_fract_z
Ac1 Ac 0.0385 0.7727 0.2089
Sm1 Sm 0.0000 0.0000 0.0000
Sm2 Sm 0.0000 0.0000 0.5000
O1 O 0.0269 0.8432 0.8769
O2 O 0.0313 0.8182 0.4067
```



Entry 2:
The following is a calculated PXRD pattern of Ac2SmTc3O12. It was derived from a DFT-relaxed cell (PBE, Alexandria), using Cu Kα.
Peak positions follow from Bragg's law for the DFT cell and can differ from measured ones.

Main lines, by intensity (5 to 70 degrees two-theta):
(1 1 3), 29.61 deg, I = 100; (1 1 0), 24.36 deg, I = 57; (0 2 1), 28.75 deg, I = 53; (0 1 5), 31.26 deg, I = 49; (2 2 0), 49.91 deg, I = 44; (1 0 4), 26.31 deg, I = 35; (1 2 5), 47.41 deg, I = 35; (2 0 2), 30.36 deg, I = 32

Structural model:
```
data_Ac2SmTc3O12
_chemical_formula_sum 'Ac6 Sm3 Tc9 O36'
_symmetry_space_group_name_H-M 'R -3 m'
_symmetry_Int_Tables_number 166
_symmetry_space_group_name_Hall '-R 3 2"'
_cell_length_a 7.3085
_cell_length_b 7.3085
_cell_length_c 16.0392
_cell_angle_alpha 90.00
_cell_angle_beta 90.00
_cell_angle_gamma 120.00
loop_
_atom_site_label
_atom_site_type_symbol
_atom_site_fract_x
_atom_site_fract_y
_atom_site_fract_z
Ac1 Ac 0.0000 0.0000 0.1181
Sm1 Sm 0.0000 0.0000 0.5000
Tc1 Tc 0.0000 0.5000 0.0000
O1 O 0.0506 0.5253 0.8806
O2 O 0.0680 0.5340 0.3088
```